# 1
This entry pairs a crystal structure of Ba4Nd2Cu6O13 with its theoretical powder XRD pattern. Radiation: Cu Kα (λ = 1.5418 Å). Structure: a DFT-relaxed cell (GGA-PBE, the Materials Project).
No peak broadening, texture or thermal motion is included.

```
data_Ba4Nd2Cu6O13
_chemical_formula_sum 'Ba4 Nd2 Cu6 O13'
_symmetry_space_group_name_H-M 'P 1'
_symmetry_Int_Tables_number 1
_symmetry_space_group_name_Hall 'P 1'
_cell_length_a 12.6634
_cell_length_b 12.6369
_cell_length_c 5.5754
_cell_angle_alpha 77.53
_cell_angle_beta 77.00
_cell_angle_gamma 25.46
loop_
_atom_site_label
_atom_site_type_symbol
_atom_site_fract_x
_atom_site_fract_y
_atom_site_fract_z
_atom_site_occupancy
Ba1 Ba 0.1484 0.6625 0.8516 1
Ba2 Ba 0.3375 0.8516 0.6625 1
Ba3 Ba 0.6625 0.1484 0.3375 1
Ba4 Ba 0.8516 0.3375 0.1484 1
Nd1 Nd 0.0000 0.5000 0.0000 1
Nd2 Nd 0.5000 0.0000 0.5000 1
Cu1 Cu 0.0739 0.5709 0.4291 1
Cu2 Cu 0.2385 0.7615 0.2385 1
Cu3 Cu 0.4291 0.9261 0.0739 1
Cu4 Cu 0.5709 0.0739 0.9261 1
Cu5 Cu 0.7615 0.2385 0.7615 1
Cu6 Cu 0.9261 0.4291 0.5709 1
O1 O 0.0000 0.0000 0.0000 1
O2 O 0.1847 0.1847 0.8153 1
O3 O 0.1866 0.1866 0.3134 1
O4 O 0.1966 0.6526 0.3474 1
O5 O 0.3134 0.3134 0.1866 1
O6 O 0.3136 0.3136 0.6864 1
O7 O 0.3474 0.8034 0.1966 1
O8 O 0.6526 0.1966 0.8034 1
O9 O 0.6864 0.6864 0.3136 1
O10 O 0.6866 0.6866 0.8134 1
O11 O 0.8034 0.3474 0.6526 1
O12 O 0.8134 0.8134 0.6866 1
O13 O 0.8153 0.8153 0.1847 1
```

Principal peaks in the range 15° ≤ 2θ ≤ 90°, in order of rising 2θ:
- d = 2.825 Å, rel. 47.4
- d = 2.791 Å, rel. 100.0
- d = 2.288 Å, rel. 13.4
- d = 1.992 Å, rel. 14.6
- d = 1.950 Å, rel. 13.8
- d = 1.627 Å, rel. 14.5
- d = 1.622 Å, rel. 18.9
- d = 1.605 Å, rel. 17.0

=====

# 2
This entry pairs a crystal structure of U2Ni3As4 with its theoretical powder XRD pattern. Radiation: Cu Kα (λ = 1.5418 Å). Structure: a DFT-relaxed cell (GGA-PBE, the Materials Project).
No peak broadening, texture or thermal motion is included.

```
data_U2Ni3As4
_chemical_formula_sum 'U2 Ni3 As4'
_symmetry_space_group_name_H-M 'P 1'
_symmetry_Int_Tables_number 1
_symmetry_space_group_name_Hall 'P 1'
_cell_length_a 4.0892
_cell_length_b 4.0892
_cell_length_c 9.2016
_cell_angle_alpha 90.00
_cell_angle_beta 90.00
_cell_angle_gamma 90.00
loop_
_atom_site_label
_atom_site_type_symbol
_atom_site_fract_x
_atom_site_fract_y
_atom_site_fract_z
_atom_site_occupancy
U1 U 0.0000 0.0000 0.0000 1
U2 U 0.5000 0.5000 0.4989 1
Ni1 Ni 0.0000 0.5000 0.2487 1
Ni2 Ni 0.5000 0.0000 0.2487 1
Ni3 Ni 0.5000 0.5000 0.8645 1
As1 As 0.0000 0.0000 0.3952 1
As2 As 0.0000 0.5000 0.7405 1
As3 As 0.5000 0.0000 0.7405 1
As4 As 0.5000 0.5000 0.1143 1
```

Principal peaks in the range 15° ≤ 2θ ≤ 90°, in order of rising 2θ:
- d = 3.737 Å, rel. 27.2
- d = 2.892 Å, rel. 12.7
- d = 2.450 Å, rel. 100.0
- d = 2.045 Å, rel. 29.2
- d = 1.678 Å, rel. 13.8
- d = 1.571 Å, rel. 19.1
- d = 1.297 Å, rel. 12.1
- d = 1.245 Å, rel. 19.8

=====

# 3
This entry pairs a crystal structure of Ti5Al11 with its theoretical powder XRD pattern. Radiation: Cu Kα (λ = 1.5418 Å). Structure: a DFT-relaxed cell (GGA-PBE, the Materials Project).
No peak broadening, texture or thermal motion is included.

```
data_Ti5Al11
_chemical_formula_sum 'Ti5 Al11'
_symmetry_space_group_name_H-M 'P 1'
_symmetry_Int_Tables_number 1
_symmetry_space_group_name_Hall 'P 1'
_cell_length_a 3.9205
_cell_length_b 3.9205
_cell_length_c 16.4658
_cell_angle_alpha 90.00
_cell_angle_beta 90.00
_cell_angle_gamma 90.00
loop_
_atom_site_label
_atom_site_type_symbol
_atom_site_fract_x
_atom_site_fract_y
_atom_site_fract_z
_atom_site_occupancy
Ti1 Ti 0.0000 0.0000 0.0000 1
Ti2 Ti 0.0000 0.0000 0.2385 1
Ti3 Ti 0.5000 0.5000 0.2548 1
Ti4 Ti 0.5000 0.5000 0.4967 1
Ti5 Ti 0.5000 0.5000 0.7377 1
Al1 Al 0.0000 0.0000 0.4952 1
Al2 Al 0.0000 0.0000 0.7460 1
Al3 Al 0.0000 0.5000 0.1220 1
Al4 Al 0.0000 0.5000 0.3702 1
Al5 Al 0.0000 0.5000 0.6199 1
Al6 Al 0.0000 0.5000 0.8702 1
Al7 Al 0.5000 0.0000 0.1220 1
Al8 Al 0.5000 0.0000 0.3702 1
Al9 Al 0.5000 0.0000 0.6199 1
Al10 Al 0.5000 0.0000 0.8702 1
Al11 Al 0.5000 0.5000 0.9960 1
```

Principal peaks in the range 15° ≤ 2θ ≤ 90°, in order of rising 2θ:
- d = 2.299 Å, rel. 100.0
- d = 2.058 Å, rel. 17.0
- d = 1.960 Å, rel. 30.4
- d = 1.419 Å, rel. 19.3
- d = 1.386 Å, rel. 9.3
- d = 1.230 Å, rel. 11.0
- d = 1.187 Å, rel. 21.6
- d = 1.150 Å, rel. 9.4

=====

# 4
This entry pairs a crystal structure of HfMg6Zn with its theoretical powder XRD pattern. Radiation: Cu Kα (λ = 1.5418 Å). Structure: a DFT-relaxed cell (GGA-PBE, the Materials Project).
No peak broadening, texture or thermal motion is included.

```
data_HfMg6Zn
_chemical_formula_sum 'Hf1 Mg6 Zn1'
_symmetry_space_group_name_H-M 'P 1'
_symmetry_Int_Tables_number 1
_symmetry_space_group_name_Hall 'P 1'
_cell_length_a 4.9755
_cell_length_b 6.3673
_cell_length_c 6.3673
_cell_angle_alpha 57.14
_cell_angle_beta 90.00
_cell_angle_gamma 90.00
loop_
_atom_site_label
_atom_site_type_symbol
_atom_site_fract_x
_atom_site_fract_y
_atom_site_fract_z
_atom_site_occupancy
Hf1 Hf 0.0000 0.0000 0.0000 1
Mg1 Mg 0.0000 0.4972 0.9993 1
Mg2 Mg 0.0000 0.9993 0.4972 1
Mg3 Mg 0.5000 0.1575 0.1575 1
Mg4 Mg 0.5000 0.1593 0.6615 1
Mg5 Mg 0.5000 0.6526 0.6526 1
Mg6 Mg 0.5000 0.6615 0.1593 1
Zn1 Zn 0.0000 0.4909 0.4909 1
```

Principal peaks in the range 15° ≤ 2θ ≤ 90°, in order of rising 2θ:
- d = 5.592 Å, rel. 66.8
- d = 5.349 Å, rel. 33.2
- d = 4.976 Å, rel. 50.0
- d = 3.717 Å, rel. 48.7
- d = 2.675 Å, rel. 54.6
- d = 2.488 Å, rel. 37.5
- d = 2.437 Å, rel. 60.3
- d = 2.356 Å, rel. 100.0

=====

# 5
This entry pairs a crystal structure of DyNi with its theoretical powder XRD pattern. Radiation: Cu Kα (λ = 1.5418 Å). Structure: a DFT-relaxed cell (GGA-PBE, the Materials Project).
No peak broadening, texture or thermal motion is included.

```
data_DyNi
_chemical_formula_sum 'Dy4 Ni4'
_symmetry_space_group_name_H-M 'P 1'
_symmetry_Int_Tables_number 1
_symmetry_space_group_name_Hall 'P 1'
_cell_length_a 7.0331
_cell_length_b 4.1695
_cell_length_c 5.4225
_cell_angle_alpha 90.00
_cell_angle_beta 90.00
_cell_angle_gamma 90.00
loop_
_atom_site_label
_atom_site_type_symbol
_atom_site_fract_x
_atom_site_fract_y
_atom_site_fract_z
_atom_site_occupancy
Dy1 Dy 0.1803 0.2500 0.1338 1
Dy2 Dy 0.3197 0.7500 0.6338 1
Dy3 Dy 0.6803 0.2500 0.3662 1
Dy4 Dy 0.8197 0.7500 0.8662 1
Ni1 Ni 0.0372 0.2500 0.6272 1
Ni2 Ni 0.4628 0.7500 0.1272 1
Ni3 Ni 0.5372 0.2500 0.8728 1
Ni4 Ni 0.9628 0.7500 0.3728 1
```

Principal peaks in the range 15° ≤ 2θ ≤ 90°, in order of rising 2θ:
- d = 2.991 Å, rel. 84.7
- d = 2.688 Å, rel. 100.0
- d = 2.530 Å, rel. 92.1
- d = 2.408 Å, rel. 88.3
- d = 2.163 Å, rel. 78.9
- d = 2.152 Å, rel. 43.5
- d = 2.085 Å, rel. 52.4
- d = 1.609 Å, rel. 48.8

=====

# 6
This entry pairs a crystal structure of Pr3Cd with its theoretical powder XRD pattern. Radiation: Cu Kα (λ = 1.5418 Å). Structure: a DFT-relaxed cell (GGA-PBE, the Materials Project).
No peak broadening, texture or thermal motion is included.

```
data_Pr3Cd
_chemical_formula_sum 'Pr3 Cd1'
_symmetry_space_group_name_H-M 'P 1'
_symmetry_Int_Tables_number 1
_symmetry_space_group_name_Hall 'P 1'
_cell_length_a 6.2106
_cell_length_b 6.2106
_cell_length_c 6.2106
_cell_angle_alpha 132.90
_cell_angle_beta 132.90
_cell_angle_gamma 68.81
loop_
_atom_site_label
_atom_site_type_symbol
_atom_site_fract_x
_atom_site_fract_y
_atom_site_fract_z
_atom_site_occupancy
Pr1 Pr 0.0000 0.0000 0.0000 1
Pr2 Pr 0.2500 0.7500 0.5000 1
Pr3 Pr 0.7500 0.2500 0.5000 1
Cd1 Cd 0.5000 0.5000 0.0000 1
```

Principal peaks in the range 15° ≤ 2θ ≤ 90°, in order of rising 2θ:
- d = 2.895 Å, rel. 100.0
- d = 2.562 Å, rel. 17.9
- d = 2.482 Å, rel. 32.6
- d = 1.782 Å, rel. 24.0
- d = 1.536 Å, rel. 14.6
- d = 1.501 Å, rel. 27.0
- d = 1.448 Å, rel. 12.0
- d = 1.156 Å, rel. 11.6